[1]
The following is a computed X-ray diffraction stick pattern of AcTb2PrAs4. It was derived from a DFT-relaxed cell (PBE, Alexandria), using copper Kα.
Kinematic intensities with the Lorentz-polarization factor, no thermal factor.

Top 12 peaks for 2θ = 10–90°, in order of falling intensity:
d (Å), I/Imax, (hkl)
3.032, 100, 1 1 1
2.144, 75, 0 2 0
1.356, 34, 1 3 1
1.751, 27, 2 2 -2
3.501, 27, 2 0 0
1.238, 25, 1 3 -3
1.828, 14, 3 1 1
1.516, 12, 2 2 2
1.391, 6, 4 0 2
1.167, 4, 6 0 0
3.657, 2, 1 1 0
2.782, 2, 1 0 2

Crystal structure
Unit cell a=7.4231 b=4.2885 c=7.4285 alpha=90.00 beta=109.43 gamma=90.00
Space group P2/m (No. 10)
Symmetry-distinct sites (fractional):
Ac (0.0000, 0.0000, 0.0000) x1
Tb (0.5000, 0.0000, 0.5000) x1
Tb (0.5000, 0.5000, 0.0000) x1
Pr (0.0000, 0.5000, 0.5000) x1
As (0.2639, 0.0000, 0.7495) x2
As (0.2682, 0.5000, 0.2614) x2

***

[2]
The following is a computed X-ray diffraction stick pattern of AcTbAs2Pt2. It was derived from a DFT-relaxed cell (PBE, Alexandria), using copper Kα.
Kinematic intensities with the Lorentz-polarization factor, no thermal factor.

Top 12 peaks for 2θ = 10–90°, in order of falling intensity:
d (Å), I/Imax, (hkl)
2.771, 100, 0 1 2
2.194, 53, 1 1 0
1.488, 26, 1 1 4
1.720, 25, 2 0 2
1.353, 23, 1 2 2
3.440, 20, 1 0 1
2.025, 11, 0 0 4
1.266, 9, 3 0 0
1.272, 8, 0 1 6
1.097, 6, 2 2 0
1.101, 5, 2 0 6
1.703, 5, 1 1 3

Crystal structure
Unit cell a=4.3870 b=4.3870 c=8.1013 alpha=90.00 beta=90.00 gamma=120.00
Space group P-3m1 (No. 164)
Symmetry-distinct sites (fractional):
Ac (0.0000, 0.0000, 0.0000) x1
Tb (0.0000, 0.0000, 0.5000) x1
As (0.3333, 0.6667, 0.2630) x2
Pt (0.3333, 0.6667, 0.7243) x2

***

[3]
The following is a computed X-ray diffraction stick pattern of Ac2As2Rh3. It was derived from a DFT-relaxed cell (PBE, Alexandria), using copper Kα.
Kinematic intensities with the Lorentz-polarization factor, no thermal factor.

Top 12 peaks for 2θ = 10–90°, in order of falling intensity:
d (Å), I/Imax, (hkl)
2.739, 100, 3 1 -1
2.335, 79, 1 1 2
2.034, 49, 0 2 0
2.682, 48, 1 1 -2
2.575, 44, 4 0 -2
2.599, 44, 4 0 0
2.435, 44, 3 1 -2
2.381, 35, 2 0 -3
3.106, 35, 1 1 1
1.597, 34, 4 2 -2
2.638, 32, 3 1 0
3.490, 31, 2 0 1

Crystal structure
Unit cell a=11.2438 b=4.0689 c=7.1496 alpha=90.00 beta=112.41 gamma=90.00
Space group C2/m (No. 12)
Symmetry-distinct sites (fractional):
Ac (0.1265, 0.0000, 0.2634) x4
As (0.1513, 0.0000, 0.7259) x4
Rh (0.0000, 0.5000, 0.5000) x2
Rh (0.1505, 0.5000, 0.9246) x4

***

[4]
The following is a computed X-ray diffraction stick pattern of AcAsRh3. It was derived from a DFT-relaxed cell (PBE, Alexandria), using copper Kα.
Kinematic intensities with the Lorentz-polarization factor, no thermal factor.

Top 12 peaks for 2θ = 10–90°, in order of falling intensity:
d (Å), I/Imax, (hkl)
2.618, 100, 1 1 2
2.117, 46, 2 0 0
2.741, 42, 1 0 3
1.300, 22, 3 1 2
1.922, 22, 1 0 5
1.676, 20, 2 1 3
1.423, 16, 2 1 5
1.497, 15, 2 2 0
2.696, 14, 0 0 4
1.665, 13, 2 0 4
1.541, 13, 1 1 6
2.994, 12, 1 1 0

Crystal structure
Unit cell a=4.2348 b=4.2348 c=10.7858 alpha=90.00 beta=90.00 gamma=90.00
Space group I4mm (No. 107)
Symmetry-distinct sites (fractional):
Ac (0.0000, 0.0000, 0.0000) x2
As (0.0000, 0.0000, 0.3557) x2
Rh (0.0000, 0.0000, 0.5770) x2
Rh (0.0000, 0.5000, 0.2435) x4

***

[5]
The following is a computed X-ray diffraction stick pattern of Ac2AsRh6. It was derived from a DFT-relaxed cell (PBE, Alexandria), using copper Kα.
Kinematic intensities with the Lorentz-polarization factor, no thermal factor.

Top 12 peaks for 2θ = 10–90°, in order of falling intensity:
d (Å), I/Imax, (hkl)
2.547, 100, 2 2 2
2.206, 66, 4 0 0
1.560, 41, 4 4 0
1.330, 34, 6 2 2
3.120, 29, 2 2 0
1.274, 13, 4 4 4
1.801, 10, 4 2 2
2.024, 9, 3 3 1
1.395, 8, 6 2 0
1.179, 8, 6 4 2
1.103, 6, 8 0 0
4.412, 6, 2 0 0

Crystal structure
Unit cell a=8.8241 b=8.8241 c=8.8241 alpha=90.00 beta=90.00 gamma=90.00
Space group Fm-3m (No. 225)
Symmetry-distinct sites (fractional):
Ac (0.2500, 0.2500, 0.2500) x8
As (0.0000, 0.0000, 0.0000) x4
Rh (0.0000, 0.0000, 0.2738) x24

***

[6]
The following is a computed X-ray diffraction stick pattern of Ac6AsS12. It was derived from a DFT-relaxed cell (PBE, Alexandria), using copper Kα.
Kinematic intensities with the Lorentz-polarization factor, no thermal factor.

Top 12 peaks for 2θ = 10–90°, in order of falling intensity:
d (Å), I/Imax, (hkl)
3.900, 100, 2 1 1
3.407, 49, 3 -2 2
2.443, 39, 2 1 4
4.047, 37, 0 0 3
2.378, 33, 1 4 0
2.050, 26, 5 -1 3
2.931, 20, 1 3 1
2.030, 17, 6 -4 1
6.291, 17, 1 1 0
2.092, 15, 3 -2 5
2.142, 12, 1 3 4
1.950, 11, 4 2 2

Crystal structure
Unit cell a=12.5829 b=12.5829 c=12.1393 alpha=90.00 beta=90.00 gamma=120.00
Space group R-3 (No. 148, hexagonal axes)
Symmetry-distinct sites (fractional):
Ac (0.0552, 0.2699, 0.1473) x18
As (0.0000, 0.0000, 0.5000) x3
S (0.0414, 0.2253, 0.9043) x18
S (0.0563, 0.1894, 0.3920) x18

***

[7]
The following is a computed X-ray diffraction stick pattern of Ac5As4S. It was derived from a DFT-relaxed cell (PBE, Alexandria), using copper Kα.
Kinematic intensities with the Lorentz-polarization factor, no thermal factor.

Top 11 peaks for 2θ = 10–90°, in order of falling intensity:
d (Å), I/Imax, (hkl)
3.187, 100, 1 3 0
2.253, 78, 4 2 0
3.680, 51, 2 1 1
1.425, 37, 7 1 0
1.840, 28, 4 2 2
1.922, 28, 5 0 1
1.301, 27, 7 1 2
1.593, 13, 2 6 0
1.462, 12, 6 3 1
1.227, 9, 6 3 3
1.127, 9, 8 4 0

Crystal structure
Unit cell a=10.0756 b=10.0756 c=6.3752 alpha=90.00 beta=90.00 gamma=90.00
Space group I4/m (No. 87)
Symmetry-distinct sites (fractional):
Ac (0.0000, 0.0000, 0.0000) x2
Ac (0.1000, 0.3002, 0.5000) x8
As (0.0993, 0.2985, 0.0000) x8
S (0.0000, 0.0000, 0.5000) x2

***

[8]
The following is a computed X-ray diffraction stick pattern of AcScAsS. It was derived from a DFT-relaxed cell (PBE, Alexandria), using copper Kα.
Kinematic intensities with the Lorentz-polarization factor, no thermal factor.

Top 12 peaks for 2θ = 10–90°, in order of falling intensity:
d (Å), I/Imax, (hkl)
2.953, 100, 1 0 3
7.157, 67, 0 0 2
3.636, 65, 1 0 1
3.328, 49, 1 0 2
2.171, 47, 1 1 0
2.278, 39, 1 0 5
1.749, 22, 2 0 3
2.077, 20, 1 1 2
1.362, 20, 2 1 3
2.014, 18, 1 0 6
1.606, 15, 1 1 6
1.381, 14, 1 1 8

Crystal structure
Unit cell a=4.3413 b=4.3413 c=14.3141 alpha=90.00 beta=90.00 gamma=120.00
Space group P6_3mc (No. 186)
Symmetry-distinct sites (fractional):
Ac (0.3333, 0.6667, 0.0000) x2
Sc (0.0000, 0.0000, 0.2142) x2
As (0.3333, 0.6667, 0.6385) x2
S (0.0000, 0.0000, 0.3853) x2